No. 1
This entry pairs a crystal structure of In2BO6 with its computed powder diffractogram. Radiation: Cu Kα X-rays. Structure: DFT lattice parameters and positions (GGA-PBE).

Structure:
```
In2BO6
1.0
4.628 0.000 0.000
0.000 4.628 0.000
0.000 0.000 9.351
In B O
4 2 12
Cartesian
0.000 0.000 1.594
0.000 0.000 7.757
2.314 2.314 3.082
2.314 2.314 6.269
0.000 0.000 4.675
2.314 2.314 0.000
0.838 0.838 3.403
0.838 0.838 5.947
1.127 3.501 4.675
1.187 1.187 0.000
1.476 3.152 1.272
1.476 3.152 8.079
3.152 1.476 1.272
3.152 1.476 8.079
3.440 3.440 0.000
3.501 1.127 4.675
3.790 3.790 3.403
3.790 3.790 5.947
```

Peak list (10 most intense, 2θ = 10–80°, in order of rising 2θ)
2θ/deg	I/Imax
21.42	36
27.25	100
33.42	26
34.70	78
38.92	16
43.65	19
44.86	21
53.12	59
56.22	17
67.78	17

No. 2
This entry pairs a crystal structure of Rb2InB2O6 with its computed powder diffractogram. Radiation: Cu Kα X-rays. Structure: DFT lattice parameters and positions (GGA-PBE).

Structure:
```
Rb2InB2O6
1.0
2.710 1.565 6.434
-2.710 1.565 6.434
0.000 -3.129 6.434
Rb In B O
2 1 2 6
Cartesian
0.000 0.000 3.997
0.000 0.000 15.304
0.000 0.000 0.000
0.000 0.000 7.693
0.000 0.000 11.609
0.000 -1.382 7.753
-1.196 0.691 7.753
-1.196 -0.691 11.548
1.196 0.691 7.753
1.196 -0.691 11.548
0.000 1.382 11.548
```

Peak list (10 most intense, 2θ = 10–80°, in order of rising 2θ)
2θ/deg	I/Imax
19.46	46
26.49	25
29.97	100
33.05	53
42.85	24
45.22	19
51.17	19
51.74	12
54.57	19
57.14	23

No. 3
This entry pairs a crystal structure of Rb3InB2O6 with its computed powder diffractogram. Radiation: Cu Kα X-rays. Structure: DFT lattice parameters and positions (GGA-PBE).

Structure:
```
Rb3InB2O6
1.0
5.543 0.000 0.000
-2.772 4.800 0.000
0.000 0.000 7.154
Rb In B O
3 1 2 6
Cartesian
0.000 0.000 0.000
0.000 3.200 5.415
2.772 1.600 1.739
0.000 0.000 3.577
0.000 3.200 2.308
2.772 1.600 4.846
0.000 1.800 2.260
-1.213 3.901 2.260
1.559 0.900 4.894
1.213 3.901 2.260
3.984 0.900 4.894
2.772 3.001 4.894
```

Peak list (10 most intense, 2θ = 10–80°, in order of rising 2θ)
2θ/deg	I/Imax
18.48	24
22.30	27
31.18	100
32.30	68
39.61	25
45.51	41
56.90	29
57.60	12
61.73	21
76.32	15

No. 4
This entry pairs a crystal structure of Rb2InBO4 with its computed powder diffractogram. Radiation: Cu Kα X-rays. Structure: DFT lattice parameters and positions (GGA-PBE).

Structure:
```
Rb2InBO4
1.0
0.000 5.801 11.024
2.536 0.000 11.024
2.536 5.801 0.000
Rb In B O
4 2 2 8
Cartesian
1.902 4.351 1.164
3.170 7.252 6.677
1.902 4.351 15.372
3.170 7.252 20.884
0.634 1.450 2.756
4.438 10.153 19.293
1.902 4.351 8.268
3.170 7.252 13.780
2.792 3.455 7.411
2.792 5.247 9.125
4.059 6.355 14.637
4.059 8.148 12.924
1.012 3.455 9.125
1.012 5.247 7.411
2.280 6.355 12.924
2.280 8.148 14.637
```

Peak list (10 most intense, 2θ = 10–80°, in order of rising 2θ)
2θ/deg	I/Imax
16.08	39
19.52	67
27.89	54
28.76	100
29.32	44
30.83	38
35.59	59
38.76	41
43.35	30
54.14	32

No. 5
This entry pairs a crystal structure of Sr2InBO5 with its computed powder diffractogram. Radiation: Cu Kα X-rays. Structure: DFT lattice parameters and positions (GGA-PBE).

Structure:
```
Sr2InBO5
1.0
1.660 -6.870 0.000
1.660 6.870 0.000
0.000 0.000 10.877
Sr In B O
4 2 2 10
Cartesian
1.660 5.391 5.439
1.660 5.016 1.968
1.660 -5.016 7.407
1.660 -5.391 0.000
1.660 4.320 9.602
1.660 -4.320 4.164
1.660 0.851 2.550
1.660 -0.851 7.988
1.660 6.382 8.938
1.660 2.721 5.587
1.660 2.243 2.518
1.660 2.242 9.241
1.660 0.046 1.454
1.660 -0.046 6.893
1.660 -2.242 3.802
1.660 -2.243 7.957
1.660 -2.721 0.148
1.660 -6.382 3.499
```

Peak list (10 most intense, 2θ = 10–80°, in order of rising 2θ)
2θ/deg	I/Imax
20.83	23
25.94	25
27.23	35
27.65	34
27.82	70
33.34	34
37.31	100
40.25	21
46.01	23
54.99	35

No. 6
This entry pairs a crystal structure of In2BOsPt with its computed powder diffractogram. Radiation: Cu Kα X-rays. Structure: DFT lattice parameters and positions (GGA-PBE).

Structure:
```
In2BOsPt
1.0
4.589 0.000 0.000
0.000 4.589 0.000
0.000 0.000 4.012
In B Os Pt
2 1 1 1
Cartesian
0.000 2.294 0.000
2.294 0.000 0.000
0.000 0.000 0.000
0.000 0.000 2.006
2.294 2.294 2.006
```

Peak list (10 most intense, 2θ = 10–80°, in order of rising 2θ)
2θ/deg	I/Imax
22.16	4
27.49	6
35.58	100
39.27	40
45.20	13
56.74	14
61.39	21
68.80	29
75.34	12
77.14	11

No. 7
This entry pairs a crystal structure of In2TcBP with its computed powder diffractogram. Radiation: Cu Kα X-rays. Structure: DFT lattice parameters and positions (GGA-PBE).

Structure:
```
In2TcBP
1.0
5.280 0.000 0.000
0.000 5.280 0.000
0.000 0.000 3.971
In Tc B P
2 1 1 1
Cartesian
0.000 2.640 0.000
2.640 0.000 0.000
0.000 0.000 0.000
0.000 0.000 1.986
2.640 2.640 1.986
```

Peak list (10 most intense, 2θ = 10–80°, in order of rising 2θ)
2θ/deg	I/Imax
16.79	25
22.39	89
28.12	36
32.93	46
33.96	100
41.06	74
48.78	35
54.30	32
58.13	40
69.06	24

No. 8
This entry pairs a crystal structure of InBRh3 with its computed powder diffractogram. Radiation: Cu Kα X-rays. Structure: DFT lattice parameters and positions (GGA-PBE).

Structure:
```
InBRh3
1.0
2.890 -5.890 0.000
2.890 5.890 0.000
0.000 0.000 4.186
In B Rh
2 2 6
Cartesian
2.890 4.296 0.000
2.890 -4.296 0.000
2.890 1.401 2.093
2.890 -1.401 2.093
1.445 2.945 2.093
1.382 0.000 2.093
2.890 1.480 0.000
1.445 -2.945 2.093
2.890 -1.480 0.000
4.398 0.000 2.093
```

Peak list (10 most intense, 2θ = 10–80°, in order of rising 2θ)
2θ/deg	I/Imax
37.34	100
37.83	98
43.23	36
43.89	67
63.30	44
75.38	12
75.69	12
76.02	23
76.94	23
79.61	11